Computed powder diffractogram of Y3Mg2 for CuKα, from a DFT-relaxed cell (GGA-PBE, Alexandria).
No peak broadening, texture or thermal motion is included.

Peak list (10 most intense, 15 to 90 degrees two-theta, by angle)
| d [Å] | 2θ/deg | intensity |
| --- | --- | --- |
| 3.896 | 22.8 | 24 |
| 3.298 | 27.0 | 26 |
| 3.080 | 29.0 | 23 |
| 2.907 | 30.8 | 56 |
| 2.756 | 32.5 | 100 |
| 2.598 | 34.5 | 18 |
| 1.858 | 49.0 | 12 |
| 1.817 | 50.2 | 16 |
| 1.744 | 52.5 | 15 |
| 1.593 | 57.9 | 14 |

Atomic structure:
```
data_Y3Mg2
_cell_length_a 8.711
_cell_length_b 8.711
_cell_length_c 7.809
_cell_angle_alpha 90.00
_cell_angle_beta 90.00
_cell_angle_gamma 90.00
_symmetry_space_group_name_H-M 'P 42/m n m'
_symmetry_Int_Tables_number 136
_symmetry_space_group_name_Hall '-P 4n 2n'
loop_
_atom_site_label
_atom_site_fract_x
_atom_site_fract_y
_atom_site_fract_z
_atom_site_occupancy
Y1 0.000 0.500 0.250 1
Y2 0.147 0.147 0.000 1
Y3 0.204 0.204 0.500 1
Mg1 0.123 0.877 0.308 1
```